# Y2TlInMo
Simulated powder X-ray diffraction pattern, Cu Kα (λ = 1.5418 Å). Input: a DFT-relaxed cell (PBE, Alexandria).
Intensities are scaled so that the largest is 100.

The 12 most intense peaks (15 to 90 degrees two-theta), by angle:
| index | 2θ/deg | I_rel |
| --- | --- | --- |
| 1 1 0 | 22.28 | 36 |
| 1 0 1 | 23.53 | 56 |
| 1 1 1 | 28.41 | 98 |
| 2 0 0 | 31.71 | 100 |
| 0 0 2 | 35.23 | 38 |
| 2 1 1 | 39.86 | 29 |
| 2 2 0 | 45.46 | 36 |
| 2 0 2 | 48.12 | 62 |
| 3 1 1 | 54.48 | 32 |
| 2 2 2 | 58.79 | 34 |
| 4 2 0 | 75.33 | 18 |
| 4 2 2 | 85.97 | 23 |

Crystal structure
```
data_Y2TlInMo
_chemical_formula_sum 'Y2 Tl1 In1 Mo1'
_space_group_name_H-M_alt 'P 4/m m m'
_space_group_IT_number 123
_space_group_name_Hall '-P 4 2'
_cell_length_a 5.643
_cell_length_b 5.643
_cell_length_c 5.095
_cell_angle_alpha 90.00
_cell_angle_beta 90.00
_cell_angle_gamma 90.00
loop_
_atom_site_label
_atom_site_type_symbol
_atom_site_fract_x
_atom_site_fract_y
_atom_site_fract_z
Y1 Y 0.000 0.500 0.000
Tl1 Tl 0.000 0.000 0.500
In1 In 0.500 0.500 0.000
Mo1 Mo 0.500 0.500 0.500
```

---

# KNa9Cd2
Simulated powder X-ray diffraction pattern, Cu Kα (λ = 1.5418 Å). Input: a DFT-relaxed cell (PBE, Alexandria).
Intensities are scaled so that the largest is 100.

The 12 most intense peaks (15 to 90 degrees two-theta), by angle:
| index | 2θ/deg | I_rel |
| --- | --- | --- |
| 1 1 0 | 15.16 | 100 |
| 3 0 0 | 26.42 | 22 |
| 1 1 1 | 29.38 | 79 |
| 2 2 0 | 30.60 | 90 |
| 2 1 1 | 34.41 | 35 |
| 3 0 1 | 36.70 | 48 |
| 2 2 1 | 39.92 | 22 |
| 4 1 0 | 40.88 | 25 |
| 4 1 1 | 48.51 | 34 |
| 6 0 0 | 54.40 | 13 |
| 2 2 2 | 60.95 | 22 |
| 5 2 1 | 63.03 | 19 |

Crystal structure
```
data_KNa9Cd2
_chemical_formula_sum 'K1 Na9 Cd2'
_space_group_name_H-M_alt 'P 6/m m m'
_space_group_IT_number 191
_space_group_name_Hall '-P 6 2'
_cell_length_a 11.6857
_cell_length_b 11.6857
_cell_length_c 3.5601
_cell_angle_alpha 90.00
_cell_angle_beta 90.00
_cell_angle_gamma 120.00
loop_
_atom_site_label
_atom_site_type_symbol
_atom_site_fract_x
_atom_site_fract_y
_atom_site_fract_z
K1 K 0.0000 0.0000 0.0000
Na1 Na 0.0000 0.5000 0.0000
Na2 Na 0.1900 0.3799 0.5000
Cd1 Cd 0.3333 0.6667 0.0000
```

---

# OsCl4
Simulated powder X-ray diffraction pattern, Cu Kα (λ = 1.5418 Å). Input: a DFT-relaxed cell (PBE, Alexandria).
Intensities are scaled so that the largest is 100.

The 12 most intense peaks (15 to 90 degrees two-theta), by angle:
| index | 2θ/deg | I_rel |
| --- | --- | --- |
| 0 2 1 | 18.50 | 36 |
| 1 3 0 | 22.41 | 35 |
| 1 1 1 | 22.78 | 100 |
| 0 4 1 | 25.96 | 17 |
| 1 3 1 | 27.23 | 23 |
| 1 5 0 | 30.81 | 25 |
| 1 5 1 | 34.55 | 16 |
| 1 3 2 | 38.44 | 18 |
| 2 4 1 | 41.87 | 30 |
| 1 5 2 | 44.13 | 20 |
| 2 0 2 | 45.22 | 16 |
| 2 6 1 | 48.49 | 21 |

Crystal structure
```
data_OsCl4
_chemical_formula_sum 'Os4 Cl16'
_space_group_name_H-M_alt 'C 2 2 21'
_space_group_IT_number 20
_cell_length_a 5.549
_cell_length_b 17.030
_cell_length_c 5.803
_cell_angle_alpha 90.00
_cell_angle_beta 90.00
_cell_angle_gamma 90.00
loop_
_space_group_symop_operation_xyz
'x,y,z'
'-x,-y,z+1/2'
'x,-y,-z'
'-x,y,-z+1/2'
'x+1/2,y+1/2,z'
'-x+1/2,-y+1/2,z+1/2'
'x+1/2,-y+1/2,-z'
'-x+1/2,y+1/2,-z+1/2'
loop_
_atom_site_label
_atom_site_type_symbol
_atom_site_fract_x
_atom_site_fract_y
_atom_site_fract_z
Os1 Os 0.000 0.200 0.250
Cl1 Cl 0.229 0.107 0.079
Cl2 Cl 0.241 0.304 0.079
```

---

# ZnSi2Tc
Simulated powder X-ray diffraction pattern, Cu Kα (λ = 1.5418 Å). Input: a DFT-relaxed cell (PBE, Alexandria).
Intensities are scaled so that the largest is 100.

The 12 most intense peaks (15 to 90 degrees two-theta), by angle:
| index | 2θ/deg | I_rel |
| --- | --- | --- |
| 0 0 2 | 23.32 | 28 |
| 1 1 0 | 33.89 | 22 |
| 1 1 2 | 41.55 | 100 |
| 0 2 0 | 42.24 | 24 |
| 0 0 4 | 47.67 | 17 |
| 2 0 0 | 54.55 | 11 |
| 1 1 4 | 59.77 | 8 |
| 0 2 4 | 65.57 | 12 |
| 2 2 0 | 71.31 | 10 |
| 2 0 4 | 75.32 | 8 |
| 1 3 2 | 76.76 | 16 |
| 1 1 6 | 84.54 | 12 |

Crystal structure
```
data_ZnSi2Tc
_chemical_formula_sum 'Zn2 Si4 Tc2'
_space_group_name_H-M_alt 'I m m m'
_space_group_IT_number 71
_space_group_name_Hall '-I 2 2'
_cell_length_a 3.365
_cell_length_b 4.279
_cell_length_c 7.630
_cell_angle_alpha 90.00
_cell_angle_beta 90.00
_cell_angle_gamma 90.00
loop_
_atom_site_label
_atom_site_type_symbol
_atom_site_fract_x
_atom_site_fract_y
_atom_site_fract_z
Zn1 Zn 0.000 0.000 0.000
Si1 Si 0.000 0.500 0.255
Tc1 Tc 0.000 0.000 0.500
```

---

# AgCl2
Simulated powder X-ray diffraction pattern, Cu Kα (λ = 1.5418 Å). Input: a DFT-relaxed cell (PBE, Alexandria).
Intensities are scaled so that the largest is 100.

The 12 most intense peaks (15 to 90 degrees two-theta), by angle:
| index | 2θ/deg | I_rel |
| --- | --- | --- |
| 1 1 0 | 18.56 | 100 |
| 0 2 0 | 24.64 | 19 |
| 1 0 1 | 28.14 | 22 |
| 1 2 0 | 28.39 | 12 |
| 1 1 1 | 30.79 | 10 |
| 2 2 0 | 37.62 | 15 |
| 1 2 1 | 37.75 | 28 |
| 2 1 1 | 39.53 | 45 |
| 0 3 1 | 45.08 | 18 |
| 3 0 1 | 49.61 | 11 |
| 1 1 2 | 53.70 | 11 |
| 2 4 0 | 58.79 | 17 |

Crystal structure
```
data_AgCl2
_chemical_formula_sum 'Ag2 Cl4'
_space_group_name_H-M_alt 'P n n m'
_space_group_IT_number 58
_cell_length_a 6.378
_cell_length_b 7.225
_cell_length_c 3.655
_cell_angle_alpha 90.00
_cell_angle_beta 90.00
_cell_angle_gamma 90.00
loop_
_space_group_symop_operation_xyz
'x,y,z'
'-x,-y,-z'
'-x,-y,z'
'x,y,-z'
'x+1/2,-y+1/2,-z+1/2'
'-x+1/2,y+1/2,z+1/2'
'-x+1/2,y+1/2,-z+1/2'
'x+1/2,-y+1/2,z+1/2'
loop_
_atom_site_label
_atom_site_type_symbol
_atom_site_fract_x
_atom_site_fract_y
_atom_site_fract_z
Ag1 Ag 0.000 0.000 0.000
Cl1 Cl 0.216 0.131 0.500
```

---

# SrBeSnF6
Simulated powder X-ray diffraction pattern, Cu Kα (λ = 1.5418 Å). Input: a DFT-relaxed cell (PBE, Alexandria).
Intensities are scaled so that the largest is 100.

The 12 most intense peaks (15 to 90 degrees two-theta), by angle:
| index | 2θ/deg | I_rel |
| --- | --- | --- |
| 1 0 0 | 17.00 | 22 |
| 0 1 1 | 22.97 | 100 |
| 1 1 0 | 29.67 | 22 |
| 1 0 2 | 35.52 | 15 |
| 0 2 1 | 37.85 | 24 |
| 2 -1 2 | 43.41 | 27 |
| 1 2 1 | 48.82 | 25 |
| 0 1 3 | 50.52 | 8 |
| 3 0 0 | 52.65 | 7 |
| 2 1 2 | 56.52 | 8 |
| 2 0 3 | 59.69 | 8 |
| 3 1 1 | 66.66 | 11 |

Crystal structure
```
data_SrBeSnF6
_chemical_formula_sum 'Sr1 Be1 Sn1 F6'
_space_group_name_H-M_alt 'P 3'
_space_group_IT_number 143
_cell_length_a 6.0219
_cell_length_b 6.0219
_cell_length_c 5.7780
_cell_angle_alpha 90.00
_cell_angle_beta 90.00
_cell_angle_gamma 120.00
loop_
_space_group_symop_operation_xyz
'x,y,z'
'-y,x-y,z'
'-x+y,-x,z'
loop_
_atom_site_label
_atom_site_type_symbol
_atom_site_fract_x
_atom_site_fract_y
_atom_site_fract_z
Sr1 Sr 0.0000 0.0000 0.0000
Be1 Be 0.3333 0.6667 0.2486
Sn1 Sn 0.6667 0.3333 0.5555
F1 F 0.1584 0.3853 0.2496
F2 F 0.3661 0.2859 0.7712
```

---

# YHo4ErS8
Simulated powder X-ray diffraction pattern, Cu Kα (λ = 1.5418 Å). Input: a DFT-relaxed cell (PBE, Alexandria).
Intensities are scaled so that the largest is 100.

The 12 most intense peaks (15 to 90 degrees two-theta), by angle:
| index | 2θ/deg | I_rel |
| --- | --- | --- |
| 1 1 0 | 22.19 | 20 |
| 0 1 5 | 26.09 | 100 |
| 2 0 2 | 27.27 | 18 |
| 0 2 4 | 31.59 | 27 |
| 1 2 5 | 41.42 | 43 |
| 2 0 8 | 45.28 | 59 |
| 3 1 5 | 53.00 | 14 |
| 0 4 2 | 53.67 | 10 |
| 1 0 13 | 63.03 | 24 |
| 5 0 5 | 72.22 | 14 |
| 0 2 16 | 83.63 | 19 |
| 3 2 13 | 89.48 | 12 |

Crystal structure
```
data_YHo4ErS8
_chemical_formula_sum 'Y3 Ho12 Er3 S24'
_space_group_name_H-M_alt 'R 3 m'
_space_group_IT_number 160
_space_group_name_Hall 'R 3 -2"'
_cell_length_a 8.0127
_cell_length_b 8.0127
_cell_length_c 19.6118
_cell_angle_alpha 90.00
_cell_angle_beta 90.00
_cell_angle_gamma 120.00
loop_
_atom_site_label
_atom_site_type_symbol
_atom_site_fract_x
_atom_site_fract_y
_atom_site_fract_z
Y1 Y 0.0000 0.0000 0.0000
Ho1 Ho 0.0000 0.0000 0.2498
Ho2 Ho 0.0001 0.5001 0.1249
Er1 Er 0.0000 0.0000 0.6250
S1 S 0.0000 0.0000 0.3822
S2 S 0.0000 0.0000 0.8668
S3 S 0.0228 0.5114 0.3773
S4 S 0.1771 0.3542 0.2062
```

---

# La3PrPt
Simulated powder X-ray diffraction pattern, Cu Kα (λ = 1.5418 Å). Input: a DFT-relaxed cell (PBE, Alexandria).
Intensities are scaled so that the largest is 100.

The 12 most intense peaks (15 to 90 degrees two-theta), by angle:
| index | 2θ/deg | I_rel |
| --- | --- | --- |
| 1 0 1 | 17.65 | 23 |
| 1 1 1 | 21.82 | 35 |
| 0 0 2 | 27.86 | 16 |
| 2 1 1 | 29.06 | 100 |
| 0 2 1 | 29.21 | 45 |
| 2 2 0 | 33.96 | 14 |
| 2 1 2 | 38.08 | 45 |
| 0 2 2 | 38.20 | 23 |
| 4 0 0 | 44.73 | 24 |
| 2 3 0 | 45.03 | 33 |
| 2 1 3 | 50.07 | 32 |
| 4 2 1 | 54.31 | 16 |

Crystal structure
```
data_La3PrPt
_chemical_formula_sum 'La6 Pr2 Pt2'
_space_group_name_H-M_alt 'P m n 21'
_space_group_IT_number 31
_cell_length_a 8.106
_cell_length_b 6.959
_cell_length_c 6.405
_cell_angle_alpha 90.00
_cell_angle_beta 90.00
_cell_angle_gamma 90.00
loop_
_space_group_symop_operation_xyz
'x,y,z'
'-x+1/2,-y,z+1/2'
'-x,y,z'
'x+1/2,-y,z+1/2'
loop_
_atom_site_label
_atom_site_type_symbol
_atom_site_fract_x
_atom_site_fract_y
_atom_site_fract_z
La1 La 0.000 0.149 0.000
La2 La 0.247 0.689 0.006
Pr1 Pr 0.000 0.853 0.516
Pt1 Pt 0.000 0.498 0.260
```

---

# Ag3BiTe4
Simulated powder X-ray diffraction pattern, Cu Kα (λ = 1.5418 Å). Input: a DFT-relaxed cell (PBE, Alexandria).
Intensities are scaled so that the largest is 100.

The 12 most intense peaks (15 to 90 degrees two-theta), by angle:
| index | 2θ/deg | I_rel |
| --- | --- | --- |
| 1 1 -1 | 23.59 | 12 |
| 0 2 1 | 28.81 | 100 |
| 4 0 0 | 30.23 | 49 |
| 0 0 2 | 40.16 | 15 |
| 0 4 0 | 42.24 | 93 |
| 4 0 -2 | 51.01 | 9 |
| 4 4 0 | 52.80 | 20 |
| 0 4 2 | 59.67 | 9 |
| 4 4 -2 | 68.28 | 11 |
| 0 6 1 | 69.05 | 8 |
| 8 2 -1 | 70.55 | 9 |
| 4 6 -1 | 77.19 | 14 |

Crystal structure
```
data_Ag3BiTe4
_chemical_formula_sum 'Ag6 Bi2 Te8'
_space_group_name_H-M_alt 'C 1 2/m 1'
_space_group_IT_number 12
_cell_length_a 11.825
_cell_length_b 8.564
_cell_length_c 4.491
_cell_angle_alpha 90.00
_cell_angle_beta 90.14
_cell_angle_gamma 90.00
loop_
_space_group_symop_operation_xyz
'x,y,z'
'-x,-y,-z'
'-x,y,-z'
'x,-y,z'
'x+1/2,y+1/2,z'
'-x+1/2,-y+1/2,-z'
'-x+1/2,y+1/2,-z'
'x+1/2,-y+1/2,z'
loop_
_atom_site_label
_atom_site_type_symbol
_atom_site_fract_x
_atom_site_fract_y
_atom_site_fract_z
Ag1 Ag 0.000 0.000 0.000
Ag2 Ag 0.250 0.250 0.500
Bi1 Bi 0.000 0.500 0.000
Te1 Te 0.000 0.240 0.500
Te2 Te 0.238 0.000 0.888
```

---

# Mn14BeFe
Simulated powder X-ray diffraction pattern, Cu Kα (λ = 1.5418 Å). Input: a DFT-relaxed cell (PBE, Alexandria).
Intensities are scaled so that the largest is 100.

The 12 most intense peaks (15 to 90 degrees two-theta), by angle:
| index | 2θ/deg | I_rel |
| --- | --- | --- |
| 3 1 1 | 39.76 | 4 |
| 1 2 2 | 41.40 | 4 |
| 2 1 3 | 44.16 | 9 |
| 0 0 4 | 45.20 | 16 |
| 4 0 0 | 46.22 | 100 |
| 1 0 4 | 46.73 | 5 |
| 0 3 1 | 51.08 | 4 |
| 4 0 4 | 66.69 | 9 |
| 0 4 0 | 68.11 | 5 |
| 2 2 6 | 84.17 | 4 |
| 6 2 2 | 85.74 | 10 |
| 4 4 0 | 86.34 | 4 |

Crystal structure
```
data_Mn14BeFe
_chemical_formula_sum 'Mn28 Be2 Fe2'
_space_group_name_H-M_alt 'A m m 2'
_space_group_IT_number 38
_cell_length_a 7.846
_cell_length_b 5.507
_cell_length_c 8.025
_cell_angle_alpha 90.00
_cell_angle_beta 90.00
_cell_angle_gamma 90.00
loop_
_space_group_symop_operation_xyz
'x,y,z'
'-x,-y,z'
'-x,y,z'
'x,-y,z'
'x,y+1/2,z+1/2'
'-x,-y+1/2,z+1/2'
'-x,y+1/2,z+1/2'
'x,-y+1/2,z+1/2'
loop_
_atom_site_label
_atom_site_type_symbol
_atom_site_fract_x
_atom_site_fract_y
_atom_site_fract_z
Mn1 Mn 0.000 0.000 0.000
Mn2 Mn 0.000 0.000 0.465
Mn3 Mn 0.000 0.210 0.735
Mn4 Mn 0.229 0.000 0.219
Mn5 Mn 0.252 0.221 0.941
Mn6 Mn 0.266 0.000 0.674
Mn7 Mn 0.500 0.222 0.167
Be1 Be 0.500 0.000 0.898
Fe1 Fe 0.500 0.000 0.432
```

---

# NaIn2P
Simulated powder X-ray diffraction pattern, Cu Kα (λ = 1.5418 Å). Input: a DFT-relaxed cell (PBE, Alexandria).
Intensities are scaled so that the largest is 100.

The 12 most intense peaks (15 to 90 degrees two-theta), by angle:
| index | 2θ/deg | I_rel |
| --- | --- | --- |
| 0 0 6 | 21.73 | 13 |
| 1 0 1 | 26.29 | 44 |
| 0 1 2 | 27.05 | 14 |
| 1 0 4 | 29.90 | 54 |
| 0 1 5 | 31.88 | 100 |
| 0 0 9 | 32.85 | 18 |
| 0 1 8 | 39.45 | 15 |
| 1 0 10 | 45.49 | 28 |
| 1 1 0 | 45.93 | 39 |
| 2 0 5 | 57.00 | 18 |
| 1 1 9 | 57.62 | 21 |
| 1 2 5 | 76.10 | 15 |

Crystal structure
```
data_NaIn2P
_chemical_formula_sum 'Na3 In6 P3'
_space_group_name_H-M_alt 'R 3 m'
_space_group_IT_number 160
_space_group_name_Hall 'R 3 -2"'
_cell_length_a 3.9518
_cell_length_b 3.9518
_cell_length_c 24.5345
_cell_angle_alpha 90.00
_cell_angle_beta 90.00
_cell_angle_gamma 120.00
loop_
_atom_site_label
_atom_site_type_symbol
_atom_site_fract_x
_atom_site_fract_y
_atom_site_fract_z
Na1 Na 0.0000 0.0000 0.0000
In1 In 0.0000 0.0000 0.5603
In2 In 0.0000 0.0000 0.7690
P1 P 0.0000 0.0000 0.1641
```

---

# CeNdSc2Tl4
Simulated powder X-ray diffraction pattern, Cu Kα (λ = 1.5418 Å). Input: a DFT-relaxed cell (PBE, Alexandria).
Intensities are scaled so that the largest is 100.

The 12 most intense peaks (15 to 90 degrees two-theta), by angle:
| index | 2θ/deg | I_rel |
| --- | --- | --- |
| 0 1 2 | 20.41 | 6 |
| 1 0 4 | 23.61 | 15 |
| 1 1 0 | 33.64 | 100 |
| 0 2 4 | 41.55 | 4 |
| 2 0 8 | 48.31 | 18 |
| 1 1 12 | 54.40 | 4 |
| 1 0 16 | 60.03 | 10 |
| 3 0 0 | 60.20 | 28 |
| 0 2 16 | 70.63 | 6 |
| 2 2 0 | 70.81 | 6 |
| 2 1 16 | 80.57 | 8 |
| 3 1 8 | 80.70 | 8 |

Crystal structure
```
data_CeNdSc2Tl4
_chemical_formula_sum 'Ce3 Nd3 Sc6 Tl12'
_space_group_name_H-M_alt 'R -3 m'
_space_group_IT_number 166
_space_group_name_Hall '-R 3 2"'
_cell_length_a 5.3224
_cell_length_b 5.3224
_cell_length_c 26.1633
_cell_angle_alpha 90.00
_cell_angle_beta 90.00
_cell_angle_gamma 120.00
loop_
_atom_site_label
_atom_site_type_symbol
_atom_site_fract_x
_atom_site_fract_y
_atom_site_fract_z
Ce1 Ce 0.0000 0.0000 0.0000
Nd1 Nd 0.0000 0.0000 0.5000
Sc1 Sc 0.0000 0.0000 0.2500
Tl1 Tl 0.0000 0.0000 0.1248
Tl2 Tl 0.0000 0.0000 0.3750
```